The following is a calculated powder X-ray diffraction pattern of HfZn2B2C. It was derived from a structure optimized by DFT (PBE), using Cu Kα, 1.54184 Å.
Kinematic intensities with the Lorentz-polarization factor, no thermal factor.

Cell lengths 3.4603, 3.4603, 6.2466 Å; angles 105.92, 105.92, 89.98 degrees
Sites, in units of the cell vectors:
1 Hf 0.0000 0.0000 0.0000
2 Zn 0.2499 0.7501 0.5000
3 Zn 0.7501 0.2499 0.5000
4 B 0.3737 0.3737 0.7439
5 B 0.6263 0.6263 0.2561
6 C 0.5000 0.5000 0.0000

Peak list (12 most intense, 15 to 90 degrees two-theta, by intensity)
d_spacing, I (rel.)
2.253, 100
3.314, 81
2.879, 60
2.249, 33
1.730, 32
2.574, 28
2.566, 28
1.485, 20
1.534, 19
1.510, 19
1.481, 16
1.920, 12